Calculated powder XRD pattern of Y2HoNi2B2N3 for Cu Kα (weighted mean of Kα1 and Kα2), from a crystal structure in OQMD, relaxed with GGA-PBE.
Neutral-atom scattering factors, no anomalous dispersion.

Peak list (12 most intense, 10° ≤ 2θ ≤ 90°, by angle)
(1 0 3), 2θ 29.0, d = 3.081 Å, intensity 100; (1 0 5), 2θ 34.2, d = 2.624 Å, intensity 87; (0 0 8), 2θ 35.9, d = 2.504 Å, intensity 61; (1 1 0), 2θ 36.6, d = 2.456 Å, intensity 34; (1 1 2), 2θ 37.7, d = 2.385 Å, intensity 79; (1 1 6), 2θ 45.9, d = 1.978 Å, intensity 42; (2 0 0), 2θ 52.7, d = 1.737 Å, intensity 44; (1 0 11), 2θ 57.1, d = 1.613 Å, intensity 19; (1 1 10), 2θ 59.6, d = 1.552 Å, intensity 27; (2 1 3), 2θ 61.3, d = 1.513 Å, intensity 26; (2 1 5), 2θ 64.3, d = 1.448 Å, intensity 29; (2 0 8), 2θ 65.4, d = 1.427 Å, intensity 39

Structural model:
Lattice parameters (Å, degrees): 3.473 3.473 20.031 90.00 90.00 90.00
Space group I4/mmm (No. 139)
One atom of each set of equivalent atoms:
Y  0.000  0.000  0.123 x4
Ho  0.000  0.000  0.500 x2
Ni  0.000  0.500  0.250 x4
B  0.000  0.000  0.311 x4
N  0.000  0.000  0.000 x2
N  0.000  0.000  0.383 x4